Record 1
This entry pairs a crystal structure of Na4YTaSi3O12 with its simulated powder XRD pattern. Radiation: CuKα. Structure: a crystal structure in the Materials Project, relaxed with PBE.
Lines closer than 0.1° are merged.

Crystal structure
```
Na4YTaSi3O12
1.0
4.6743 2.6987 7.5245
-4.6743 2.6987 7.5245
0.0000 -5.3974 7.5245
Na Y Ta Si O
8 2 2 6 24
Direct
0.0000 0.0000 0.0000
0.1236 0.3930 0.7372
0.2372 0.8930 0.6236
0.3930 0.7372 0.1236
0.5000 0.5000 0.5000
0.6236 0.2372 0.8930
0.7372 0.1236 0.3930
0.8930 0.6236 0.2372
0.3534 0.3534 0.3534
0.8534 0.8534 0.8534
0.1516 0.1516 0.1516
0.6516 0.6516 0.6516
0.0485 0.7648 0.4524
0.2648 0.5485 0.9524
0.4524 0.0485 0.7648
0.5485 0.9524 0.2648
0.7648 0.4524 0.0485
0.9524 0.2648 0.5485
0.0030 0.2287 0.3625
0.0356 0.7920 0.6167
0.0531 0.9475 0.2774
0.1057 0.7302 0.9140
0.1167 0.2920 0.5356
0.2287 0.3625 0.0030
0.2302 0.6057 0.4140
0.2774 0.0531 0.9475
0.2920 0.5356 0.1167
0.3625 0.0030 0.2287
0.4140 0.2302 0.6057
0.4475 0.5531 0.7774
0.5030 0.8625 0.7287
0.5356 0.1167 0.2920
0.5531 0.7774 0.4475
0.6057 0.4140 0.2302
0.6167 0.0356 0.7920
0.7287 0.5030 0.8625
0.7302 0.9140 0.1057
0.7774 0.4475 0.5531
0.7920 0.6167 0.0356
0.8625 0.7287 0.5030
0.9140 0.1057 0.7302
0.9475 0.2774 0.0531
```

Main lines, by angle (10 to 90 degrees two-theta):
| Position (°2θ) | I_rel |
| --- | --- |
| 13.46 | 47 |
| 18.99 | 84 |
| 19.17 | 87 |
| 27.11 | 39 |
| 30.50 | 100 |
| 33.20 | 60 |


Record 2
This entry pairs a crystal structure of Lu4InRh with its simulated powder XRD pattern. Radiation: CuKα. Structure: a crystal structure in the Materials Project, relaxed with PBE.
Lines closer than 0.1° are merged.

Crystal structure
```
Lu4InRh
1.0
0.0000 6.7006 6.7006
6.7006 0.0000 6.7006
6.7006 6.7006 0.0000
Lu In Rh
16 4 4
Direct
0.1883 0.1883 0.8117
0.1883 0.8117 0.1883
0.1883 0.8117 0.8117
0.4004 0.4004 0.4004
0.4004 0.4004 0.7987
0.4004 0.7987 0.4004
0.5614 0.5614 0.9386
0.5614 0.9386 0.5614
0.5614 0.9386 0.9386
0.7987 0.4004 0.4004
0.8117 0.1883 0.1883
0.8117 0.1883 0.8117
0.8117 0.8117 0.1883
0.9386 0.5614 0.5614
0.9386 0.5614 0.9386
0.9386 0.9386 0.5614
0.1662 0.1662 0.1662
0.1662 0.1662 0.5015
0.1662 0.5015 0.1662
0.5015 0.1662 0.1662
0.1783 0.6072 0.6072
0.6072 0.1783 0.6072
0.6072 0.6072 0.1783
0.6072 0.6072 0.6072
```

Main lines, by angle (10 to 90 degrees two-theta):
| Position (°2θ) | I_rel |
| --- | --- |
| 29.04 | 28 |
| 32.74 | 52 |
| 34.78 | 100 |
| 37.98 | 32 |
| 58.43 | 48 |
| 88.45 | 15 |


Record 3
This entry pairs a crystal structure of NaTaSi2SnSO12 with its simulated powder XRD pattern. Radiation: CuKα. Structure: a crystal structure in the Materials Project, relaxed with PBE.
Lines closer than 0.1° are merged.

Crystal structure
```
NaTaSi2SnSO12
1.0
7.6630 -4.4276 0.0000
7.6630 4.4276 0.0000
-5.2754 0.0000 7.6103
Na Ta Si Sn S O
2 2 4 2 2 24
Direct
0.2297 0.7703 0.5000
0.7703 0.2297 0.0000
0.1134 0.6120 0.0576
0.6120 0.1134 0.5576
0.0066 0.7889 0.7394
0.2108 0.2976 0.2393
0.2976 0.2108 0.7393
0.7889 0.0066 0.2394
0.3855 0.9200 0.9273
0.9200 0.3855 0.4273
0.5049 0.7167 0.2407
0.7167 0.5049 0.7407
0.0148 0.3381 0.2482
0.0347 0.7538 0.9120
0.1195 0.2237 0.5646
0.1934 0.7992 0.7558
0.1981 0.4786 0.2178
0.2237 0.1195 0.0646
0.2518 0.3920 0.9112
0.3335 0.7056 0.2267
0.3381 0.0148 0.7482
0.3920 0.2518 0.4112
0.4786 0.1981 0.7178
0.4793 0.7373 0.0820
0.5338 0.8788 0.4007
0.5453 0.6561 0.7610
0.6239 0.9592 0.0607
0.6561 0.5453 0.2610
0.7056 0.3335 0.7267
0.7373 0.4793 0.5820
0.7538 0.0347 0.4120
0.7992 0.1934 0.2558
0.8269 0.9792 0.7172
0.8788 0.5338 0.9007
0.9592 0.6239 0.5607
0.9792 0.8269 0.2172
```

Main lines, by angle (10 to 90 degrees two-theta):
| Position (°2θ) | I_rel |
| --- | --- |
| 19.19 | 29 |
| 19.49 | 53 |
| 20.06 | 100 |
| 27.89 | 31 |
| 35.12 | 32 |
| 54.89 | 24 |


Record 4
This entry pairs a crystal structure of CeCd20Pd2 with its simulated powder XRD pattern. Radiation: CuKα. Structure: a crystal structure in the Materials Project, relaxed with PBE.
Lines closer than 0.1° are merged.

Crystal structure
```
CeCd20Pd2
1.0
0.0000 8.0073 8.0073
8.0073 0.0000 8.0073
8.0073 8.0073 0.0000
Ce Cd Pd
2 40 4
Direct
0.1250 0.1250 0.1250
0.8750 0.8750 0.8750
0.0000 0.0000 0.0000
0.0000 0.0000 0.5000
0.0000 0.5000 0.0000
0.0566 0.3228 0.3228
0.0566 0.3228 0.7978
0.0566 0.7978 0.3228
0.2022 0.6772 0.6772
0.2022 0.6772 0.9434
0.2022 0.9434 0.6772
0.2371 0.2371 0.5129
0.2371 0.5129 0.2371
0.2371 0.5129 0.5129
0.3228 0.0566 0.3228
0.3228 0.0566 0.7978
0.3228 0.3228 0.0566
0.3228 0.3228 0.7978
0.3228 0.7978 0.0566
0.3228 0.7978 0.3228
0.4871 0.4871 0.7629
0.4871 0.7629 0.4871
0.4871 0.7629 0.7629
0.5000 0.0000 0.0000
0.5129 0.2371 0.2371
0.5129 0.2371 0.5129
0.5129 0.5129 0.2371
0.6772 0.2022 0.6772
0.6772 0.2022 0.9434
0.6772 0.6772 0.2022
0.6772 0.6772 0.9434
0.6772 0.9434 0.2022
0.6772 0.9434 0.6772
0.7629 0.4871 0.4871
0.7629 0.4871 0.7629
0.7629 0.7629 0.4871
0.7978 0.0566 0.3228
0.7978 0.3228 0.0566
0.7978 0.3228 0.3228
0.9434 0.2022 0.6772
0.9434 0.6772 0.2022
0.9434 0.6772 0.6772
0.0000 0.5000 0.5000
0.5000 0.0000 0.5000
0.5000 0.5000 0.0000
0.5000 0.5000 0.5000
```

Main lines, by angle (10 to 90 degrees two-theta):
| Position (°2θ) | I_rel |
| --- | --- |
| 33.09 | 100 |
| 35.45 | 44 |
| 36.80 | 84 |
| 37.24 | 93 |
| 40.21 | 36 |
| 66.00 | 55 |


Record 5
This entry pairs a crystal structure of NaMg14GaO16 with its simulated powder XRD pattern. Radiation: CuKα. Structure: a crystal structure in the Materials Project, relaxed with PBE.
Lines closer than 0.1° are merged.

Crystal structure
```
NaMg14GaO16
1.0
8.5429 0.0000 0.0000
0.0000 8.5429 0.0000
0.0000 0.0000 4.2896
Na Mg Ga O
1 14 1 16
Direct
0.0000 0.0000 0.0000
0.0000 0.2449 0.5000
0.0000 0.5000 0.0000
0.0000 0.7551 0.5000
0.2449 0.0000 0.5000
0.2446 0.2446 0.0000
0.2446 0.7554 0.0000
0.2461 0.5000 0.5000
0.5000 0.0000 0.0000
0.5000 0.2461 0.5000
0.5000 0.7539 0.5000
0.7539 0.5000 0.5000
0.7551 0.0000 0.5000
0.7554 0.2446 0.0000
0.7554 0.7554 0.0000
0.5000 0.5000 0.0000
0.0000 0.0000 0.5000
0.0000 0.2666 0.0000
0.0000 0.5000 0.5000
0.0000 0.7334 0.0000
0.2515 0.2515 0.5000
0.2515 0.7485 0.5000
0.2637 0.5000 0.0000
0.2666 0.0000 0.0000
0.5000 0.0000 0.5000
0.5000 0.2637 0.0000
0.5000 0.5000 0.5000
0.5000 0.7363 0.0000
0.7334 0.0000 0.0000
0.7363 0.5000 0.0000
0.7485 0.2515 0.5000
0.7485 0.7485 0.5000
```

Main lines, by angle (10 to 90 degrees two-theta):
| Position (°2θ) | I_rel |
| --- | --- |
| 36.38 | 24 |
| 42.13 | 52 |
| 42.32 | 100 |
| 61.25 | 57 |
| 61.39 | 28 |
| 77.27 | 25 |


Record 6
This entry pairs a crystal structure of Ce4Pu with its simulated powder XRD pattern. Radiation: CuKα. Structure: a crystal structure in the Materials Project, relaxed with PBE.
Lines closer than 0.1° are merged.

Crystal structure
```
Ce4Pu
1.0
3.2091 0.0000 0.0000
-1.6045 2.7791 0.0000
0.0000 0.0000 39.7347
Ce Pu
12 3
Direct
0.0000 0.0000 0.1029
0.0000 0.0000 0.2992
0.0000 0.0000 0.7008
0.0000 0.0000 0.8971
0.3333 0.6667 0.3675
0.3333 0.6667 0.5637
0.3333 0.6667 0.7696
0.3333 0.6667 0.9658
0.6667 0.3333 0.0342
0.6667 0.3333 0.2304
0.6667 0.3333 0.4363
0.6667 0.3333 0.6325
0.0000 0.0000 0.5000
0.3333 0.6667 0.1667
0.6667 0.3333 0.8333
```

Main lines, by angle (10 to 90 degrees two-theta):
| Position (°2θ) | I_rel |
| --- | --- |
| 33.84 | 33 |
| 34.18 | 100 |
| 39.57 | 66 |
| 56.98 | 22 |
| 57.43 | 23 |
| 68.35 | 26 |